(1)
Structure and computed powder X-ray diffraction pattern of SrPmBr5 (a PBE-relaxed structure; a wavelength of 1.5418 Å).

Crystal structure
Lattice parameters (Å, degrees): 8.496 4.388 14.114 90.00 93.31 90.00
Space group P2_1/m (No. 11)
One atom of each set of equivalent atoms:
Sr 0.086 0.250 0.141 (multiplicity 2)
Pm 0.423 0.750 0.351 (multiplicity 2)
Br 0.083 0.750 0.318 (multiplicity 2)
Br 0.144 0.250 0.927 (multiplicity 2)
Br 0.322 0.250 0.481 (multiplicity 2)
Br 0.361 0.750 0.144 (multiplicity 2)
Br 0.376 0.750 0.700 (multiplicity 2)

Main lines, low angle first (2θ = 5–70°):
index, two_theta, I (rel.)
1 0 -1, 11.9, 100
2 0 -2, 23.9, 17
1 1 2, 26.4, 33
2 0 3, 29.2, 21
2 1 0, 29.3, 32
1 1 -3, 29.4, 27
2 1 -2, 31.5, 25
3 0 1, 32.6, 25
2 1 4, 39.9, 31
0 2 0, 41.1, 28

***

(2)
Structure and computed powder X-ray diffraction pattern of GeH2Pt (a PBE-relaxed structure; a wavelength of 1.5418 Å).

Crystal structure
Lattice parameters (Å, degrees): 4.661 3.732 10.801 90.00 90.00 90.00
Space group Pnna (No. 52)
One atom of each set of equivalent atoms:
Ge 0.034 0.250 0.250 (multiplicity 4)
H 0.067 0.734 0.062 (multiplicity 8)
Pt 0.250 0.000 0.572 (multiplicity 4)

Main lines, low angle first (2θ = 5–70°):
index, two_theta, I (rel.)
1 0 1, 20.8, 24
0 1 1, 25.3, 100
1 0 3, 31.4, 80
1 1 1, 31.8, 20
1 1 2, 35.0, 67
2 0 2, 42.2, 30
1 1 4, 45.8, 49
2 1 1, 46.7, 39
0 2 2, 51.8, 24
2 2 0, 63.9, 25